Starting from a structure optimized by DFT (PBE), the powder diffraction line list of K2Tm2PtO6 was computed for a wavelength of 1.5418 Å.

Structure:
a = 5.697 Å, b = 5.697 Å, c = 6.584 Å
α = 97.66°, β = 97.66°, γ = 119.62°
Atoms (fractional coordinates):
K: 0.161 0.839 0.000
K: 0.839 0.161 0.000
Tm: 0.335 0.665 0.500
Tm: 0.665 0.335 0.500
Pt: 0.000 0.000 0.500
O: 0.050 0.368 0.673
O: 0.257 0.257 0.324
O: 0.368 0.050 0.673
O: 0.632 0.950 0.327
O: 0.743 0.743 0.676
O: 0.950 0.632 0.327

Most intense lines, 2θ = 5–70°, low angle first:
13.9°, 6.349 Å, I 100
28.1°, 3.174 Å, I 24
31.7°, 2.822 Å, I 33
32.4°, 2.763 Å, I 15
32.9°, 2.719 Å, I 28
36.6°, 2.458 Å, I 38
37.1°, 2.426 Å, I 18
45.8°, 1.980 Å, I 12
50.3°, 1.815 Å, I 13
58.1°, 1.588 Å, I 14

=====

Starting from a structure optimized by DFT (PBE), the powder diffraction line list of Pr4Nd5Mg2 was computed for a wavelength of 1.5418 Å.

Structure:
a = 11.701 Å, b = 11.701 Å, c = 8.962 Å
α = 93.15°, β = 93.15°, γ = 17.74°
Atoms (fractional coordinates):
Pr: 0.071 0.071 0.211
Pr: 0.288 0.288 0.677
Pr: 0.712 0.712 0.323
Pr: 0.929 0.929 0.789
Nd: 0.129 0.129 0.603
Nd: 0.183 0.183 0.969
Nd: 0.500 0.500 0.500
Nd: 0.817 0.817 0.031
Nd: 0.871 0.871 0.397
Mg: 0.444 0.444 0.127
Mg: 0.556 0.556 0.873

Most intense lines, 2θ = 5–70°, low angle first:
27.0°, 3.302 Å, I 33
30.5°, 2.927 Å, I 100
31.5°, 2.843 Å, I 27
31.5°, 2.840 Å, I 73
32.0°, 2.793 Å, I 69
32.2°, 2.776 Å, I 31
32.7°, 2.737 Å, I 86
34.4°, 2.609 Å, I 62
51.9°, 1.762 Å, I 39
60.3°, 1.536 Å, I 29

=====

Starting from a structure optimized by DFT (PBE), the powder diffraction line list of RbDy5S8 was computed for a wavelength of 1.5418 Å.

Structure:
a = 10.440 Å, b = 10.440 Å, c = 9.695 Å
α = 104.40°, β = 104.40°, γ = 22.11°
Atoms (fractional coordinates):
Rb: 0.000 0.000 0.000
Dy: 0.156 0.156 0.443
Dy: 0.203 0.203 0.838
Dy: 0.500 0.500 0.499
Dy: 0.797 0.797 0.161
Dy: 0.845 0.845 0.556
S: 0.080 0.080 0.640
S: 0.272 0.272 0.357
S: 0.329 0.329 0.008
S: 0.420 0.420 0.692
S: 0.580 0.580 0.307
S: 0.671 0.671 0.990
S: 0.728 0.728 0.641
S: 0.920 0.920 0.359

Most intense lines, 2θ = 5–70°, low angle first:
8.9°, 9.912 Å, I 44
9.4°, 9.378 Å, I 86
18.0°, 4.928 Å, I 51
22.9°, 3.876 Å, I 55
26.0°, 3.424 Å, I 81
26.5°, 3.362 Å, I 63
28.9°, 3.089 Å, I 100
30.4°, 2.938 Å, I 43
36.3°, 2.476 Å, I 74
45.9°, 1.979 Å, I 76

=====

Starting from a structure optimized by DFT (PBE), the powder diffraction line list of SiTeRu2 was computed for a wavelength of 1.5418 Å.

Structure:
a = 3.063 Å, b = 3.073 Å, c = 6.604 Å
α = 90.00°, β = 90.08°, γ = 90.00°
Atoms (fractional coordinates):
Si: 0.000 0.000 0.000
Te: 0.000 0.000 0.500
Ru: 0.500 0.500 0.209
Ru: 0.500 0.500 0.791

Most intense lines, 2θ = 5–70°, low angle first:
32.1°, 2.784 Å, I 36
32.2°, 2.777 Å, I 12
40.1°, 2.249 Å, I 100
40.2°, 2.244 Å, I 33
41.0°, 2.201 Å, I 16
41.6°, 2.170 Å, I 70
55.7°, 1.651 Å, I 8
59.9°, 1.545 Å, I 21
60.2°, 1.536 Å, I 11
60.4°, 1.532 Å, I 11

=====

Starting from a structure optimized by DFT (PBE), the powder diffraction line list of TbY2In3Te6 was computed for a wavelength of 1.5418 Å.

Structure:
a = 7.654 Å, b = 7.654 Å, c = 8.498 Å
α = 98.64°, β = 98.64°, γ = 120.00°
Atoms (fractional coordinates):
Tb: 0.000 0.000 0.000
Y: 0.333 0.667 0.000
Y: 0.667 0.333 0.000
In: 0.166 0.834 0.500
In: 0.500 0.500 0.500
In: 0.834 0.166 0.500
Te: 0.073 0.407 0.220
Te: 0.261 0.261 0.781
Te: 0.407 0.073 0.220
Te: 0.593 0.927 0.780
Te: 0.739 0.739 0.219
Te: 0.927 0.593 0.780

Most intense lines, 2θ = 5–70°, low angle first:
27.5°, 3.239 Å, I 100
37.8°, 2.380 Å, I 39
40.8°, 2.210 Å, I 36
44.7°, 2.026 Å, I 7
50.0°, 1.825 Å, I 19
56.9°, 1.619 Å, I 12
62.2°, 1.494 Å, I 10
62.2°, 1.493 Å, I 5
66.2°, 1.413 Å, I 5
66.4°, 1.407 Å, I 16

=====

Starting from a structure optimized by DFT (PBE), the powder diffraction line list of CdAs2Br8 was computed for a wavelength of 1.5418 Å.

Structure:
a = 4.085 Å, b = 9.617 Å, c = 10.438 Å
α = 95.12°, β = 91.29°, γ = 92.88°
Atoms (fractional coordinates):
Cd: 0.000 0.000 0.000
As: 0.378 0.741 0.267
As: 0.622 0.259 0.733
Br: 0.023 0.948 0.280
Br: 0.032 0.447 0.795
Br: 0.414 0.719 0.490
Br: 0.460 0.806 0.957
Br: 0.540 0.194 0.043
Br: 0.586 0.281 0.510
Br: 0.968 0.553 0.205
Br: 0.977 0.052 0.720

Most intense lines, 2θ = 5–70°, low angle first:
9.2°, 9.566 Å, I 28
13.1°, 6.741 Å, I 100
26.6°, 3.356 Å, I 72
27.4°, 3.251 Å, I 25
28.0°, 3.187 Å, I 69
29.5°, 3.026 Å, I 64
34.5°, 2.598 Å, I 35
36.4°, 2.471 Å, I 28
43.4°, 2.087 Å, I 24
45.9°, 1.975 Å, I 32